# Y2InGe2
Computed PXRD pattern, λ = 1.5418 Å (Cu Kα). Input: a DFT-relaxed cell (GGA-PBE, the Materials Project).
Intensities are scaled so that the largest is 100.

a = 7.4341 Å, b = 7.4341 Å, c = 4.1641 Å
α = 90.00°, β = 90.00°, γ = 90.00°
Sites, in units of the cell vectors:
Y  0.1791  0.3209  0.0000
Y  0.3209  0.8209  0.0000
Y  0.6791  0.1791  0.0000
Y  0.8209  0.6791  0.0000
In  0.0000  0.0000  0.5000
In  0.5000  0.5000  0.5000
Ge  0.1211  0.6211  0.5000
Ge  0.3789  0.1211  0.5000
Ge  0.6211  0.8789  0.5000
Ge  0.8789  0.3789  0.5000

Peak list (10 most intense, 2θ = 10–90°, low angle first)
2θ/deg  intensity  index
32.28  64  2 0 1
34.11  17  2 2 0
34.52  100  2 1 1
38.29  49  3 1 0
43.46  25  0 0 2
44.24  12  3 1 1
55.54  10  4 1 1
57.02  11  3 3 1
59.29  26  3 1 2
68.15  17  5 1 1